Starting from a structure optimized by DFT (GGA-PBE), the powder diffraction line list of Pu4U was calculated for Cu Kα X-rays.
No peak broadening, texture or thermal motion is included.

Principal peaks in the range 2θ = 5–70°, low angle first:
Position (°2θ), I (rel.)
17.3, 21
24.6, 19
30.2, 72
35.1, 100
39.4, 11
43.3, 9
50.4, 73
53.7, 6
56.9, 4
59.9, 33
62.9, 26
68.6, 5

Crystal structure
abc: 5.119 5.119 5.119
angles: 90.00 90.00 90.00
Fractional coordinates of all 5 atoms:
Pu: 0.000 0.000 0.000
Pu: 0.000 0.500 0.500
Pu: 0.500 0.000 0.500
Pu: 0.500 0.500 0.000
U: 0.500 0.500 0.500

Starting from a structure optimized by DFT (GGA-PBE), the powder diffraction line list of PuUZn4 was calculated for Cu Kα X-rays.
No peak broadening, texture or thermal motion is included.

Principal peaks in the range 2θ = 5–70°, low angle first:
Position (°2θ), I (rel.)
20.2, 26
33.3, 75
39.2, 100
41.0, 11
47.7, 2
52.3, 7
59.4, 30
63.4, 33
69.8, 23

Crystal structure
abc: 5.388 5.388 5.388
angles: 60.00 60.00 60.00
Fractional coordinates of all 6 atoms:
Pu: 0.000 0.000 0.000
U: 0.750 0.750 0.750
Zn: 0.375 0.375 0.375
Zn: 0.375 0.375 0.876
Zn: 0.375 0.876 0.375
Zn: 0.876 0.375 0.375

Starting from a structure optimized by DFT (GGA-PBE), the powder diffraction line list of PuUZn was calculated for Cu Kα X-rays.
No peak broadening, texture or thermal motion is included.

Principal peaks in the range 2θ = 5–70°, low angle first:
Position (°2θ), I (rel.)
21.3, 35
32.4, 26
37.4, 100
39.1, 57
43.4, 6
50.3, 47
55.2, 21
58.6, 5
67.4, 18
67.8, 6
68.6, 22

Crystal structure
abc: 4.811 4.811 2.766
angles: 90.00 90.00 120.00
Fractional coordinates of all 3 atoms:
Pu: 0.000 0.000 0.000
U: 0.333 0.667 0.000
Zn: 0.667 0.333 0.500

Starting from a structure optimized by DFT (GGA-PBE), the powder diffraction line list of YPu5 was calculated for Cu Kα X-rays.
No peak broadening, texture or thermal motion is included.

Principal peaks in the range 2θ = 5–70°, low angle first:
Position (°2θ), I (rel.)
16.4, 4
32.0, 29
32.3, 28
33.7, 100
46.1, 22
50.6, 8
58.0, 22
58.4, 21
61.1, 9
61.3, 9
66.8, 4
67.5, 4

Crystal structure
abc: 5.602 10.827 5.548
angles: 90.00 90.00 90.00
Fractional coordinates of all 12 atoms:
Y: 0.000 0.000 0.000
Y: 0.500 0.500 0.000
Pu: 0.000 0.176 0.500
Pu: 0.000 0.329 0.000
Pu: 0.000 0.500 0.500
Pu: 0.000 0.671 0.000
Pu: 0.000 0.824 0.500
Pu: 0.500 0.000 0.500
Pu: 0.500 0.171 0.000
Pu: 0.500 0.324 0.500
Pu: 0.500 0.676 0.500
Pu: 0.500 0.829 0.000

Starting from a structure optimized by DFT (GGA-PBE), the powder diffraction line list of Pu3Zn was calculated for Cu Kα X-rays.
No peak broadening, texture or thermal motion is included.

Principal peaks in the range 2θ = 5–70°, low angle first:
Position (°2θ), I (rel.)
23.2, 17
27.4, 6
31.7, 24
34.4, 26
36.2, 100
44.5, 3
47.5, 16
56.5, 19
62.9, 21
66.3, 3
67.9, 22
69.0, 15

Crystal structure
abc: 6.512 6.512 5.209
angles: 90.00 90.00 120.00
Fractional coordinates of all 8 atoms:
Pu: 0.172 0.344 0.250
Pu: 0.172 0.828 0.250
Pu: 0.344 0.172 0.750
Pu: 0.656 0.828 0.250
Pu: 0.828 0.172 0.750
Pu: 0.828 0.656 0.750
Zn: 0.333 0.667 0.750
Zn: 0.667 0.333 0.250

Starting from a structure optimized by DFT (GGA-PBE), the powder diffraction line list of Pu2Zn17 was calculated for Cu Kα X-rays.
No peak broadening, texture or thermal motion is included.

Principal peaks in the range 2θ = 5–70°, low angle first:
Position (°2θ), I (rel.)
28.3, 46
33.3, 13
34.5, 44
35.6, 26
40.0, 59
40.3, 100
41.0, 46
41.2, 19
54.6, 13
58.1, 18
58.6, 25
65.7, 18

Crystal structure
abc: 6.819 6.819 6.819
angles: 82.68 82.68 82.68
Fractional coordinates of all 19 atoms:
Pu: 0.164 0.164 0.164
Pu: 0.836 0.836 0.836
Zn: 0.000 0.500 0.500
Zn: 0.147 0.147 0.660
Zn: 0.147 0.660 0.147
Zn: 0.203 0.500 0.797
Zn: 0.203 0.797 0.500
Zn: 0.340 0.853 0.853
Zn: 0.400 0.400 0.400
Zn: 0.500 0.000 0.500
Zn: 0.500 0.203 0.797
Zn: 0.500 0.500 0.000
Zn: 0.500 0.797 0.203
Zn: 0.600 0.600 0.600
Zn: 0.660 0.147 0.147
Zn: 0.797 0.203 0.500
Zn: 0.797 0.500 0.203
Zn: 0.853 0.340 0.853
Zn: 0.853 0.853 0.340

Starting from a structure optimized by DFT (GGA-PBE), the powder diffraction line list of Pu2Zn7 was calculated for Cu Kα X-rays.
No peak broadening, texture or thermal motion is included.

Principal peaks in the range 2θ = 5–70°, low angle first:
Position (°2θ), I (rel.)
19.0, 26
26.4, 25
33.0, 63
35.7, 44
37.7, 46
38.4, 20
39.2, 100
40.1, 34
60.7, 22
62.1, 22
63.2, 25
69.3, 23

Crystal structure
abc: 13.290 13.290 13.290
angles: 23.56 23.56 23.56
Fractional coordinates of all 18 atoms:
Pu: 0.043 0.043 0.043
Pu: 0.181 0.181 0.181
Pu: 0.819 0.819 0.819
Pu: 0.957 0.957 0.957
Zn: 0.000 0.500 0.500
Zn: 0.219 0.724 0.724
Zn: 0.267 0.267 0.267
Zn: 0.276 0.276 0.781
Zn: 0.276 0.781 0.276
Zn: 0.389 0.389 0.389
Zn: 0.500 0.000 0.500
Zn: 0.500 0.500 0.000
Zn: 0.500 0.500 0.500
Zn: 0.611 0.611 0.611
Zn: 0.724 0.219 0.724
Zn: 0.724 0.724 0.219
Zn: 0.733 0.733 0.733
Zn: 0.781 0.276 0.276

Starting from a structure optimized by DFT (GGA-PBE), the powder diffraction line list of Pu3Zn22 was calculated for Cu Kα X-rays.
No peak broadening, texture or thermal motion is included.

Principal peaks in the range 2θ = 5–70°, low angle first:
Position (°2θ), I (rel.)
20.1, 15
25.8, 31
28.5, 25
30.9, 35
32.9, 16
33.9, 21
37.1, 36
38.8, 92
39.7, 100
40.8, 63
42.6, 36
58.2, 26

Crystal structure
abc: 12.289 12.289 12.289
angles: 137.78 137.78 61.25
Fractional coordinates of all 50 atoms:
Pu: 0.125 0.875 0.250
Pu: 0.253 0.503 0.750
Pu: 0.497 0.747 0.750
Pu: 0.503 0.253 0.250
Pu: 0.747 0.497 0.250
Pu: 0.875 0.125 0.750
Zn: 0.000 0.000 0.000
Zn: 0.000 0.000 0.500
Zn: 0.000 0.500 0.000
Zn: 0.041 0.321 0.240
Zn: 0.041 0.801 0.720
Zn: 0.118 0.220 0.602
Zn: 0.118 0.516 0.898
Zn: 0.143 0.739 0.404
Zn: 0.155 0.624 0.530
Zn: 0.165 0.261 0.904
Zn: 0.199 0.419 0.240
Zn: 0.199 0.959 0.780
Zn: 0.220 0.118 0.102
Zn: 0.261 0.165 0.404
Zn: 0.261 0.857 0.096
Zn: 0.321 0.041 0.740
Zn: 0.321 0.581 0.280
Zn: 0.376 0.406 0.530
Zn: 0.376 0.845 0.970
Zn: 0.406 0.376 0.030
Zn: 0.419 0.199 0.740
Zn: 0.419 0.679 0.220
Zn: 0.484 0.882 0.602
Zn: 0.500 0.000 0.500
Zn: 0.516 0.118 0.398
Zn: 0.581 0.321 0.780
Zn: 0.581 0.801 0.260
Zn: 0.594 0.624 0.970
Zn: 0.624 0.155 0.030
Zn: 0.624 0.594 0.470
Zn: 0.679 0.419 0.720
Zn: 0.679 0.959 0.260
Zn: 0.739 0.143 0.904
Zn: 0.739 0.835 0.596
Zn: 0.780 0.882 0.898
Zn: 0.801 0.041 0.220
Zn: 0.801 0.581 0.760
Zn: 0.835 0.739 0.096
Zn: 0.845 0.376 0.470
Zn: 0.857 0.261 0.596
Zn: 0.882 0.484 0.102
Zn: 0.882 0.780 0.398
Zn: 0.959 0.199 0.280
Zn: 0.959 0.679 0.760